No. 1
Diffraction record for Li2V3SnO8. The X-ray diffraction stick pattern is calculated, not measured: it uses a DFT-relaxed cell (GGA+U, the Materials Project) and λ = 1.5418 Å (Cu Kα).
Intensities are scaled so that the largest is 100.

The 10 most intense peaks (10 to 80 degrees two-theta), by angle:
4.950 Å, I = 54, (1 0 1)
4.907 Å, I = 59, (1 0 -1)
4.323 Å, I = 46, (0 0 2)
4.256 Å, I = 90, (1 1 0)
3.025 Å, I = 71, (1 1 -2)
2.603 Å, I = 78, (1 0 3)
2.578 Å, I = 100, (1 2 1)
2.570 Å, I = 55, (-1 2 1)
1.520 Å, I = 37, (2 2 4)
1.512 Å, I = 52, (0 4 0)

Structural model:
a b c (Å): 5.990 6.048 8.645
angles (deg): 89.98 89.59 89.92
Space group P1 (No. 1)
Symmetry-distinct sites (fractional):
Li: 0.000 0.000 0.000 x1
Li: 0.242 0.499 0.111 x1
Li: 0.500 0.498 0.500 x1
Li: 0.742 0.997 0.611 x1
V: 0.238 0.226 0.756 x1
V: 0.247 0.756 0.754 x1
V: 0.482 0.998 0.993 x1
V: 0.738 0.271 0.257 x1
V: 0.747 0.741 0.254 x1
V: 0.982 0.499 0.493 x1
Sn: 0.233 0.001 0.381 x1
Sn: 0.732 0.496 0.881 x1
O: 0.007 0.493 0.743 x1
O: 0.027 0.013 0.743 x1
O: 0.237 0.731 0.513 x1
O: 0.240 0.269 0.515 x1
O: 0.257 0.766 0.978 x1
O: 0.262 0.239 0.972 x1
O: 0.468 0.493 0.740 x1
O: 0.477 0.009 0.754 x1
O: 0.507 0.004 0.243 x1
O: 0.527 0.484 0.243 x1
O: 0.737 0.767 0.012 x1
O: 0.740 0.228 0.015 x1
O: 0.756 0.731 0.478 x1
O: 0.762 0.257 0.472 x1
O: 0.968 0.004 0.240 x1
O: 0.977 0.488 0.254 x1

***

No. 2
Diffraction record for CsCrS2O8. The X-ray diffraction stick pattern is calculated, not measured: it uses a DFT-relaxed cell (GGA+U, the Materials Project) and λ = 1.5418 Å (Cu Kα).
Intensities are scaled so that the largest is 100.

The 10 most intense peaks (10 to 80 degrees two-theta), by angle:
4.437 Å, I = 59, (1 0 0)
3.969 Å, I = 64, (1 0 1)
3.140 Å, I = 100, (0 1 2)
2.964 Å, I = 11, (0 0 3)
2.560 Å, I = 38, (1 1 0)
2.462 Å, I = 16, (1 1 1)
2.219 Å, I = 15, (1 1 2)
1.986 Å, I = 50, (0 2 2)
1.678 Å, I = 21, (1 1 4)
1.569 Å, I = 36, (0 2 4)

Structural model:
a b c (Å): 5.1210 5.1210 8.8924
angles (deg): 90.00 90.00 120.00
Space group P321 (No. 150)
Symmetry-distinct sites (fractional):
Cs: 0.0000 0.0000 0.0000 x1
Cr: 0.0000 0.0000 0.5000 x1
S: 0.3333 0.6667 0.6938 x2
O: 0.1340 0.3530 0.6393 x6
O: 0.3333 0.6667 0.8582 x2

***

No. 3
Diffraction record for NiHO2. The X-ray diffraction stick pattern is calculated, not measured: it uses a DFT-relaxed cell (GGA+U, the Materials Project) and λ = 1.5418 Å (Cu Kα).
Intensities are scaled so that the largest is 100.

The 10 most intense peaks (10 to 80 degrees two-theta), by angle:
4.579 Å, I = 100, (0 0 1)
2.580 Å, I = 31, (1 0 0)
2.290 Å, I = 4, (0 0 2)
2.247 Å, I = 85, (0 1 1)
1.712 Å, I = 46, (0 1 2)
1.489 Å, I = 19, (1 1 0)
1.416 Å, I = 18, (1 1 1)
1.314 Å, I = 16, (1 0 3)
1.248 Å, I = 4, (1 1 2)
1.241 Å, I = 10, (2 0 1)

Structural model:
a b c (Å): 2.9786 2.9786 4.5792
angles (deg): 90.00 90.00 120.00
Space group P3m1 (No. 156)
Symmetry-distinct sites (fractional):
Ni: 0.0000 0.0000 0.0000 x1
H: 0.3333 0.6667 0.4365 x1
O: 0.3333 0.6667 0.2217 x1
O: 0.6667 0.3333 0.7834 x1

***

No. 4
Diffraction record for LaNiO3. The X-ray diffraction stick pattern is calculated, not measured: it uses a DFT-relaxed cell (GGA+U, the Materials Project) and λ = 1.5418 Å (Cu Kα).
Intensities are scaled so that the largest is 100.

The 10 most intense peaks (10 to 80 degrees two-theta), by angle:
3.884 Å, I = 14, (1 0 1)
2.778 Å, I = 33, (1 -1 0)
2.765 Å, I = 68, (0 1 -1)
2.712 Å, I = 100, (1 2 1)
2.254 Å, I = 13, (2 0 0)
1.944 Å, I = 20, (2 0 2)
1.940 Å, I = 20, (0 2 2)
1.929 Å, I = 19, (2 2 0)
1.590 Å, I = 21, (0 3 1)
1.586 Å, I = 13, (1 3 0)

Structural model:
a b c (Å): 5.424 5.424 5.434
angles (deg): 61.30 61.15 61.63
Space group P-1 (No. 2)
Symmetry-distinct sites (fractional):
La: 0.247 0.253 0.248 x2
Ni: 0.000 0.000 0.000 x1
Ni: 0.500 0.500 0.500 x1
O: 0.184 0.743 0.304 x2
O: 0.226 0.697 0.815 x2
O: 0.313 0.169 0.764 x2

***

No. 5
Diffraction record for Cs4Co3F10. The X-ray diffraction stick pattern is calculated, not measured: it uses a DFT-relaxed cell (GGA+U, the Materials Project) and λ = 1.5418 Å (Cu Kα).
Intensities are scaled so that the largest is 100.

The 10 most intense peaks (10 to 80 degrees two-theta), by angle:
3.518 Å, I = 29, (0 0 4)
3.387 Å, I = 100, (1 3 2)
3.149 Å, I = 40, (2 0 0)
2.982 Å, I = 22, (1 3 3)
2.410 Å, I = 14, (0 6 1)
2.390 Å, I = 18, (2 4 0)
2.346 Å, I = 36, (2 0 4)
2.006 Å, I = 18, (1 3 6)
1.914 Å, I = 17, (2 6 1)
1.860 Å, I = 17, (3 3 2)

Structural model:
a b c (Å): 6.297 14.679 14.073
angles (deg): 90.00 90.00 90.00
Space group Cmce (No. 64)
Symmetry-distinct sites (fractional):
Cs: 0.000 0.045 0.139 x8
Cs: 0.000 0.244 0.391 x8
Co: 0.000 0.000 0.500 x4
Co: 0.000 0.121 0.653 x8
F: 0.000 0.026 0.354 x8
F: 0.000 0.245 0.147 x8
F: 0.216 0.100 0.537 x16
F: 0.250 0.115 0.750 x8

***

No. 6
Diffraction record for MnSeO4. The X-ray diffraction stick pattern is calculated, not measured: it uses a DFT-relaxed cell (GGA+U, the Materials Project) and λ = 1.5418 Å (Cu Kα).
Intensities are scaled so that the largest is 100.

The 10 most intense peaks (10 to 80 degrees two-theta), by angle:
3.893 Å, I = 100, (1 1 1)
3.634 Å, I = 59, (0 2 1)
2.814 Å, I = 35, (2 0 0)
2.795 Å, I = 82, (1 1 2)
2.537 Å, I = 46, (1 3 0)
2.225 Å, I = 15, (2 2 1)
1.946 Å, I = 17, (2 2 2)
1.817 Å, I = 16, (0 4 2)
1.527 Å, I = 30, (2 4 2)
1.434 Å, I = 15, (1 3 4)

Structural model:
a b c (Å): 5.629 8.525 6.956
angles (deg): 90.00 90.00 90.00
Space group Cmcm (No. 63)
Symmetry-distinct sites (fractional):
Mn: 0.000 0.000 0.000 x4
Se: 0.000 0.352 0.250 x4
O: 0.000 0.247 0.049 x8
O: 0.245 0.469 0.250 x8

***

No. 7
Diffraction record for Li3Fe2Si2O8. The X-ray diffraction stick pattern is calculated, not measured: it uses a DFT-relaxed cell (GGA+U, the Materials Project) and λ = 1.5418 Å (Cu Kα).
Intensities are scaled so that the largest is 100.

The 10 most intense peaks (10 to 80 degrees two-theta), by angle:
4.150 Å, I = 96, (0 1 -1)
4.095 Å, I = 88, (1 0 -1)
4.071 Å, I = 100, (1 0 1)
4.051 Å, I = 84, (0 1 1)
3.681 Å, I = 40, (1 1 0)
3.246 Å, I = 41, (-1 1 1)
2.765 Å, I = 37, (1 0 -2)
2.733 Å, I = 42, (0 1 2)
2.647 Å, I = 75, (0 2 0)
2.630 Å, I = 81, (2 0 0)

Structural model:
a b c (Å): 5.261 5.298 6.479
angles (deg): 91.41 90.31 91.58
Space group P1 (No. 1)
Symmetry-distinct sites (fractional):
Li: 0.000 0.000 0.000 x1
Li: 0.116 0.524 0.250 x1
Li: 0.619 0.380 0.499 x1
Fe: 0.626 0.369 0.990 x1
Fe: 0.994 0.009 0.512 x1
Si: 0.129 0.521 0.745 x1
Si: 0.489 0.882 0.251 x1
O: 0.009 0.400 0.527 x1
O: 0.080 0.820 0.758 x1
O: 0.176 0.899 0.249 x1
O: 0.434 0.453 0.758 x1
O: 0.535 0.567 0.230 x1
O: 0.613 0.008 0.458 x1
O: 0.615 0.022 0.049 x1
O: 0.992 0.391 0.954 x1

***

No. 8
Diffraction record for ZnCr2F12. The X-ray diffraction stick pattern is calculated, not measured: it uses a DFT-relaxed cell (GGA+U, the Materials Project) and λ = 1.5418 Å (Cu Kα).
Intensities are scaled so that the largest is 100.

The 10 most intense peaks (10 to 80 degrees two-theta), by angle:
8.421 Å, I = 18, (0 0 1)
4.459 Å, I = 11, (1 1 0)
4.219 Å, I = 11, (0 0 2)
3.709 Å, I = 100, (1 1 -1)
2.688 Å, I = 10, (1 2 1)
2.229 Å, I = 18, (-1 1 3)
1.855 Å, I = 19, (2 2 -2)
1.693 Å, I = 12, (-1 2 3)
1.689 Å, I = 11, (1 -1 3)
1.629 Å, I = 10, (-1 1 5)

Structural model:
a b c (Å): 5.135 5.385 8.873
angles (deg): 73.88 89.97 61.61
Space group P-1 (No. 2)
Symmetry-distinct sites (fractional):
Zn: 0.000 0.000 0.000 x1
Cr: 0.252 0.507 0.740 x2
F: 0.026 0.735 0.867 x2
F: 0.045 0.270 0.417 x2
F: 0.080 0.266 0.813 x2
F: 0.419 0.730 0.691 x2
F: 0.454 0.735 0.079 x2
F: 0.473 0.267 0.637 x2